1.
Diffraction record for Rb2LiPr2W4O16. The PXRD pattern is computed, not measured: it uses a cell relaxed with GGA+U and Cu Ka.
Lines closer than 0.1° are merged.

Main lines, in order of rising 2θ (10 to 90 degrees two-theta):
two_theta  I (rel.)
13.23  18.0
15.54  21.3
26.65  100.0
28.48  99.8
31.33  60.8
33.15  21.8
33.47  17.0
44.90  24.3
46.29  18.8
48.54  13.8
54.08  12.9
55.03  16.9

Crystal structure
Cell: 7.8746 7.8746 7.5142 Å, 116.58 116.58 92.82°
Element x y z (fractional)
Rb1 0.0000 0.0000 0.0000
Rb2 0.5390 0.4610 0.5000
Li1 0.7604 0.2396 0.0000
Pr1 0.5099 0.4901 0.0000
Pr2 0.9825 0.0175 0.5000
W1 0.0431 0.5553 0.5404
W2 0.0629 0.5371 0.0424
W3 0.4447 0.9569 0.4596
W4 0.4629 0.9371 0.9576
O1 0.1070 0.4850 0.2952
O2 0.1268 0.8260 0.2751
O3 0.1370 0.3172 0.8896
O4 0.1740 0.8732 0.7249
O5 0.3308 0.6205 0.7675
O6 0.3787 0.1806 0.6144
O7 0.3795 0.6692 0.2325
O8 0.3985 0.0036 0.2053
O9 0.5150 0.8930 0.7048
O10 0.5458 0.2102 0.0638
O11 0.6828 0.8630 0.1104
O12 0.7173 0.0363 0.5808
O13 0.7898 0.4542 0.9362
O14 0.8194 0.6213 0.3856
O15 0.9637 0.2827 0.4192
O16 0.9964 0.6015 0.7947

=====

2.
Diffraction record for Rb2LiPr2W4O16. The PXRD pattern is computed, not measured: it uses a cell relaxed with GGA+U and Cu Ka.
Lines closer than 0.1° are merged.

Main lines, in order of rising 2θ (10 to 90 degrees two-theta):
two_theta  I (rel.)
15.84  54.4
25.50  100.0
26.83  78.6
26.98  21.9
28.11  76.1
28.71  76.0
30.72  59.5
31.86  30.9
32.00  29.6
32.16  37.3
47.90  29.9
54.48  35.0

Crystal structure
Cell: 7.6041 7.7214 8.1382 Å, 89.86 62.77 63.04°
Element x y z (fractional)
Rb1 0.0000 0.0000 0.0000
Rb2 0.4930 0.3614 0.6755
Li1 0.9888 0.7897 0.2650
Pr1 0.5042 0.9028 0.0892
Pr2 0.9835 0.3953 0.6677
W1 0.0384 0.8395 0.5837
W2 0.4455 0.4638 0.1871
W3 0.5384 0.8542 0.5667
W4 0.9470 0.4473 0.1952
O1 0.0325 0.3868 0.9423
O2 0.1149 0.1980 0.2197
O3 0.1807 0.5185 0.1370
O4 0.2173 0.5207 0.4597
O5 0.2532 0.7810 0.2855
O6 0.3188 0.7754 0.6088
O7 0.3652 0.1024 0.5409
O8 0.4490 0.8999 0.8223
O9 0.5426 0.1971 0.1125
O10 0.6014 0.5241 0.9601
O11 0.6739 0.4137 0.2527
O12 0.7254 0.7543 0.2569
O13 0.7839 0.5520 0.4908
O14 0.7872 0.9086 0.5205
O15 0.8884 0.7603 0.8066
O16 0.9384 0.1119 0.6500